The following is a computed powder X-ray diffraction pattern of PrCd2SbO6. It was derived from a crystal structure in Alexandria, relaxed with PBE, using Cu Kα (weighted mean of Kα1 and Kα2).
Kinematic intensities with the Lorentz-polarization factor, no thermal factor.

Main lines, in order of rising 2θ (2θ = 15–90°):
Position (°2θ)  I/Imax  hkl
21.4  15.6  0 1 2
29.6  100.0  1 0 4
31.1  90.7  1 1 0
43.5  40.7  0 2 4
47.9  24.4  2 -1 6
51.6  12.9  0 1 8
54.5  38.7  3 -1 4
55.4  26.1  3 0 0
64.9  11.5  2 2 0
73.0  14.1  1 3 4

Structure:
a b c (Å): 5.7450 5.7450 15.1666
angles (deg): 90.00 90.00 120.00
Space group R3 (No. 146, hexagonal axes)
Inequivalent atoms, fractional coordinates:
Pr: 0.0000 0.0000 0.0000 [3 per cell]
Cd: 0.0000 0.0000 0.2716 [3 per cell]
Cd: 0.0000 0.0000 0.7807 [3 per cell]
Sb: 0.0000 0.0000 0.4903 [3 per cell]
O: 0.0164 0.3868 0.2267 [9 per cell]
O: 0.0639 0.6779 0.0722 [9 per cell]

=====

The following is a computed powder X-ray diffraction pattern of Pr2ZnCdO5. It was derived from a crystal structure in Alexandria, relaxed with PBE, using Cu Kα (weighted mean of Kα1 and Kα2).
Kinematic intensities with the Lorentz-polarization factor, no thermal factor.

Main lines, in order of rising 2θ (2θ = 15–90°):
Position (°2θ)  I/Imax  hkl
29.5  17.5  2 1 0
30.6  100.0  0 0 2
33.4  47.3  2 1 1
37.6  16.4  2 2 0
42.3  14.3  3 1 0
43.0  34.2  2 1 2
49.2  14.0  2 2 2
54.3  14.2  2 0 3
56.1  15.0  4 1 0
58.5  11.3  4 1 1

Structure:
a b c (Å): 6.761 6.761 5.846
angles (deg): 90.00 90.00 90.00
Space group P4/mbm (No. 127)
Inequivalent atoms, fractional coordinates:
Pr: 0.171 0.329 0.000 [4 per cell]
Zn: 0.000 0.500 0.500 [2 per cell]
Cd: 0.000 0.000 0.500 [2 per cell]
O: 0.000 0.000 0.000 [2 per cell]
O: 0.145 0.645 0.259 [8 per cell]

=====

The following is a computed powder X-ray diffraction pattern of CdPt3O4. It was derived from a crystal structure in Alexandria, relaxed with PBE, using Cu Kα (weighted mean of Kα1 and Kα2).
Kinematic intensities with the Lorentz-polarization factor, no thermal factor.

Main lines, in order of rising 2θ (2θ = 15–90°):
Position (°2θ)  I/Imax  hkl
30.4  13.0  2 0 0
34.1  100.0  2 1 0
37.5  49.7  2 1 1
54.1  16.8  2 2 2
56.5  24.2  3 2 0
58.8  26.6  3 2 1
63.3  15.8  4 0 0
73.9  22.0  4 2 1
75.9  6.3  3 3 2
89.9  21.1  5 2 0

Structure:
a b c (Å): 5.877 5.877 5.877
angles (deg): 90.00 90.00 90.00
Space group Pm-3n (No. 223)
Inequivalent atoms, fractional coordinates:
Cd: 0.000 0.000 0.000 [2 per cell]
Pt: 0.000 0.250 0.500 [6 per cell]
O: 0.250 0.250 0.250 [8 per cell]

=====

The following is a computed powder X-ray diffraction pattern of CdPt2O6. It was derived from a crystal structure in Alexandria, relaxed with PBE, using Cu Kα (weighted mean of Kα1 and Kα2).
Kinematic intensities with the Lorentz-polarization factor, no thermal factor.

Main lines, in order of rising 2θ (2θ = 15–90°):
Position (°2θ)  I/Imax  hkl
18.7  33.7  0 0 1
27.0  100.0  1 0 1
33.8  59.3  1 1 0
38.9  30.1  2 -1 1
43.8  26.4  2 0 1
51.6  51.4  2 -1 2
56.4  25.5  3 -1 1
60.4  17.8  3 0 0
73.6  11.9  3 0 2
83.4  12.4  2 2 2

Structure:
a b c (Å): 5.3072 5.3072 4.7535
angles (deg): 90.00 90.00 120.00
Space group P-31m (No. 162)
Inequivalent atoms, fractional coordinates:
Cd: 0.0000 0.0000 0.0000 [1 per cell]
Pt: 0.3333 0.6667 0.5000 [2 per cell]
O: 0.0000 0.3648 0.7260 [6 per cell]